Entry 1:
The following is a theoretical X-ray powder pattern of LaHo4Ag. It was derived from the GGA-PBE geometry in Alexandria, using Cu Kα (weighted mean of Kα1 and Kα2).

Main lines, low angle first (15° ≤ 2θ ≤ 90°):
two_theta	d_spacing	I (rel.)
27.97	3.191	9
31.59	2.833	100
35.25	2.546	45
36.11	2.488	8
48.72	1.869	10
50.70	1.801	16
53.79	1.704	12
59.56	1.552	10
60.97	1.520	30
81.95	1.176	8

Crystal structure
Cell: 3.601 3.601 13.761 Å, 90.00 90.00 90.00°
Sites, in units of the cell vectors:
La (0.000, 0.000, 0.000)
Ho (0.000, 0.000, 0.366)
Ho (0.000, 0.000, 0.634)
Ho (0.500, 0.500, 0.187)
Ho (0.500, 0.500, 0.813)
Ag (0.500, 0.500, 0.500)



Entry 2:
The following is a theoretical X-ray powder pattern of La4HoAg5. It was derived from the GGA-PBE geometry in Alexandria, using Cu Kα (weighted mean of Kα1 and Kα2).

Main lines, low angle first (15° ≤ 2θ ≤ 90°):
two_theta	d_spacing	I (rel.)
33.32	2.689	100
33.91	2.643	50
46.94	1.936	8
48.72	1.869	18
59.16	1.562	16
60.30	1.535	35
69.97	1.345	10
78.39	1.220	6
81.07	1.186	7
81.40	1.182	8

Crystal structure
Cell: 3.738 3.738 19.358 Å, 90.00 90.00 90.00°
Sites, in units of the cell vectors:
La (0.000, 0.000, 0.102)
La (0.000, 0.000, 0.307)
La (0.000, 0.000, 0.693)
La (0.000, 0.000, 0.898)
Ho (0.000, 0.000, 0.500)
Ag (0.500, 0.500, 0.000)
Ag (0.500, 0.500, 0.204)
Ag (0.500, 0.500, 0.414)
Ag (0.500, 0.500, 0.586)
Ag (0.500, 0.500, 0.796)



Entry 3:
The following is a theoretical X-ray powder pattern of LiHoAg6. It was derived from the GGA-PBE geometry in Alexandria, using Cu Kα (weighted mean of Kα1 and Kα2).

Main lines, low angle first (15° ≤ 2θ ≤ 90°):
two_theta	d_spacing	I (rel.)
37.13	2.421	100
39.69	2.271	22
40.36	2.234	18
48.88	1.863	11
57.90	1.593	12
64.72	1.440	9
70.36	1.338	14
71.27	1.323	10
79.11	1.211	9
83.54	1.157	8

Crystal structure
Cell: 4.901 4.901 8.693 Å, 114.67 114.67 55.20°
Sites, in units of the cell vectors:
Li (0.000, 0.000, 0.000)
Ho (0.500, 0.500, 0.500)
Ag (0.103, 0.103, 0.343)
Ag (0.257, 0.257, 0.743)
Ag (0.360, 0.360, 0.109)
Ag (0.640, 0.640, 0.891)
Ag (0.743, 0.743, 0.257)
Ag (0.897, 0.897, 0.657)